[1]
For Li2CeSmMo4O16, a GGA+U-relaxed structure gives the theoretical powder XRD pattern in this record (Cu Kα (λ = 1.5418 Å)).

Top 6 peaks for 10° ≤ 2θ ≤ 80°, low angle first:
(hkl), 2theta, I/Imax
1 0 1, 19.29, 32
1 1 2, 30.42, 100
2 0 0, 34.31, 18
2 2 0, 49.31, 19
2 0 4, 51.43, 34
1 3 2, 59.05, 31

Crystal structure
Cell: 5.2267 5.2267 9.6907 Å, 90.00 90.00 90.00°
Space group P-4 (No. 81)
Asymmetric unit:
Li 0.0000 0.5000 0.2503 x2
Ce 0.0000 0.0000 0.0000 x1
Sm 0.5000 0.5000 0.5000 x1
Mo 0.0000 0.0000 0.5000 x1
Mo 0.0000 0.5000 0.7486 x2
Mo 0.5000 0.5000 0.0000 x1
O 0.1780 0.6951 0.6012 x4
O 0.1899 0.3074 0.8950 x4
O 0.1898 0.7775 0.3504 x4
O 0.2826 0.3098 0.1532 x4

[2]
For CaFe2Si4O12, a GGA+U-relaxed structure gives the theoretical powder XRD pattern in this record (Cu Kα (λ = 1.5418 Å)).

Top 6 peaks for 10° ≤ 2θ ≤ 80°, low angle first:
(hkl), 2theta, I/Imax
1 1 0, 13.73, 56
0 2 0, 19.88, 50
2 2 -1, 29.60, 100
3 1 0, 30.42, 49
0 0 2, 35.17, 38
2 2 1, 35.84, 40

Crystal structure
Cell: 9.7718 8.9225 5.3400 Å, 90.00 107.15 90.00°
Space group C2 (No. 5)
Asymmetric unit:
Ca 0.0000 0.0000 0.0000 x2
Fe 0.0000 0.5847 0.0000 x2
Fe 0.0000 0.7876 0.5000 x2
Si 0.2087 0.2863 0.0138 x4
Si 0.2099 0.1075 0.5221 x4
O 0.1142 0.7801 0.8906 x4
O 0.1155 0.6245 0.3815 x4
O 0.1347 0.9448 0.4390 x4
O 0.1466 0.1776 0.7526 x4
O 0.1470 0.4531 0.9583 x4
O 0.1506 0.2006 0.2389 x4

[3]
For FeOF, a GGA+U-relaxed structure gives the theoretical powder XRD pattern in this record (Cu Kα (λ = 1.5418 Å)).

Top 6 peaks for 10° ≤ 2θ ≤ 80°, low angle first:
(hkl), 2theta, I/Imax
1 0 1, 19.99, 100
3 0 1, 32.91, 50
2 1 0, 34.53, 26
1 1 1, 35.54, 42
2 1 2, 50.73, 32
5 1 1, 59.14, 25

Crystal structure
Cell: 9.7397 3.0708 4.9914 Å, 90.00 90.00 90.00°
Space group Pnma (No. 62)
Asymmetric unit:
Fe 0.1567 0.2500 0.0241 x4
O 0.2284 0.7500 0.8308 x4
F 0.0320 0.7500 0.1931 x4

[4]
For Ca2FeP2O12, a GGA+U-relaxed structure gives the theoretical powder XRD pattern in this record (Cu Kα (λ = 1.5418 Å)).

Top 6 peaks for 10° ≤ 2θ ≤ 80°, low angle first:
(hkl), 2theta, I/Imax
0 0 1, 13.65, 82
0 1 -1, 23.38, 47
1 -1 0, 24.40, 77
0 1 2, 27.48, 52
1 1 2, 27.93, 100
1 2 0, 32.09, 56

Crystal structure
Cell: 5.7980 6.2035 6.9388 Å, 71.15 77.15 75.29°
Space group P-1 (No. 2)
Asymmetric unit:
Ca 0.1802 0.1991 0.2719 x2
Fe 0.5000 0.5000 0.5000 x1
P 0.2694 0.0697 0.7752 x2
O 0.0775 0.0825 0.6471 x2
O 0.1722 0.2014 0.9384 x2
O 0.2288 0.5774 0.6684 x2
O 0.2837 0.5280 0.3351 x2
O 0.3923 0.8168 0.8689 x2
O 0.4919 0.1727 0.6202 x2

[5]
For Li5Mn8B8O24, a GGA+U-relaxed structure gives the theoretical powder XRD pattern in this record (Cu Kα (λ = 1.5418 Å)).

Top 6 peaks for 10° ≤ 2θ ≤ 80°, low angle first:
(hkl), 2theta, I/Imax
0 2 -1, 19.68, 82
-1 1 1, 21.29, 46
1 1 -2, 21.52, 68
1 1 1, 25.50, 69
1 3 -2, 34.37, 38
0 0 4, 34.51, 100

Crystal structure
Cell: 5.3351 9.0248 11.5198 Å, 112.44 101.33 90.51°
Space group P1 (No. 1)
Asymmetric unit:
Li 0.0000 0.0000 0.0000 x1
Li 0.0598 0.3554 0.7430 x1
Li 0.4810 0.5117 0.9843 x1
Li 0.7202 0.7477 0.5004 x1
Li 0.8248 0.1410 0.2407 x1
Mn 0.0423 0.0033 0.7062 x1
Mn 0.2125 0.5385 0.4465 x1
Mn 0.3022 0.9166 0.2105 x1
Mn 0.4807 0.1565 0.9609 x1
Mn 0.5333 0.5253 0.7048 x1
Mn 0.7316 0.0857 0.4679 x1
Mn 0.7818 0.4681 0.2033 x1
Mn 0.9752 0.6450 0.9558 x1
B 0.0060 0.6592 0.6903 x1
B 0.2260 0.8849 0.4485 x1
B 0.2743 0.2661 0.2008 x1
B 0.4933 0.8223 0.9644 x1
B 0.5404 0.1945 0.7244 x1
B 0.7314 0.4127 0.4412 x1
B 0.7587 0.7886 0.1950 x1
B 0.9935 0.3060 0.9555 x1
O 0.0029 0.9257 0.4964 x1
O 0.0883 0.1549 0.9294 x1
O 0.1240 0.4265 0.9411 x1
O 0.1489 0.1271 0.1882 x1
O 0.1811 0.4153 0.2579 x1
O 0.2099 0.6096 0.6292 x1
O 0.2654 0.8373 0.0127 x1
O 0.3291 0.9864 0.3960 x1
O 0.3533 0.7582 0.4548 x1
O 0.4034 0.3189 0.7203 x1
O 0.4461 0.0881 0.7748 x1
O 0.5006 0.2639 0.1516 x1
O 0.5261 0.4501 0.5002 x1
O 0.5717 0.6680 0.9134 x1
O 0.6041 0.6556 0.1725 x1
O 0.6311 0.9541 0.9713 x1
O 0.6783 0.9436 0.2429 x1
O 0.7603 0.3338 0.9964 x1
O 0.7670 0.1662 0.6778 x1
O 0.8291 0.5324 0.4049 x1
O 0.8393 0.2729 0.4207 x1
O 0.8807 0.7876 0.6870 x1
O 0.9374 0.5632 0.7522 x1
O 0.9952 0.7708 0.1609 x1

[6]
For LiCo2C2O7, a GGA+U-relaxed structure gives the theoretical powder XRD pattern in this record (Cu Kα (λ = 1.5418 Å)).

Top 6 peaks for 10° ≤ 2θ ≤ 80°, low angle first:
(hkl), 2theta, I/Imax
1 1 0, 17.00, 92
0 0 2, 18.62, 70
1 0 2, 23.32, 100
2 0 2, 30.52, 64
2 2 -1, 34.13, 37
3 0 -4, 40.61, 28

Crystal structure
Cell: 9.6843 6.3106 9.9551 Å, 90.00 106.78 90.00°
Space group P2_1/c (No. 14)
Asymmetric unit:
Li 0.0071 0.0991 0.2725 x4
Co 0.2976 0.1594 0.8614 x4
Co 0.4803 0.0993 0.2284 x4
C 0.1760 0.2455 0.0626 x4
C 0.2759 0.6653 0.8269 x4
O 0.0844 0.2220 0.9429 x4
O 0.1444 0.1972 0.6744 x4
O 0.1452 0.6694 0.8224 x4
O 0.3134 0.2102 0.0675 x4
O 0.3468 0.6550 0.3286 x4
O 0.3479 0.0118 0.3345 x4
O 0.4966 0.1637 0.8366 x4

[7]
For Li2Fe3F8, a GGA+U-relaxed structure gives the theoretical powder XRD pattern in this record (Cu Kα (λ = 1.5418 Å)).

Top 6 peaks for 10° ≤ 2θ ≤ 80°, low angle first:
(hkl), 2theta, I/Imax
0 2 0, 18.14, 100
1 1 2, 34.62, 38
2 2 0, 38.23, 48
1 3 2, 43.64, 50
1 5 2, 58.33, 25
3 1 2, 60.47, 29

Crystal structure
Cell: 5.3661 9.7826 6.2121 Å, 90.00 90.00 90.00°
Space group Pnnm (No. 58)
Asymmetric unit:
Li 0.0145 0.1922 0.0000 x4
Fe 0.0000 0.0000 0.5000 x2
Fe 0.0000 0.5000 0.2684 x4
F 0.1520 0.3839 0.0000 x4
F 0.1690 0.3785 0.5000 x4
F 0.1794 0.1099 0.2584 x8

[8]
For Al2FeO4, a GGA+U-relaxed structure gives the theoretical powder XRD pattern in this record (Cu Kα (λ = 1.5418 Å)).

Top 6 peaks for 10° ≤ 2θ ≤ 80°, low angle first:
(hkl), 2theta, I/Imax
1 1 0, 30.68, 62
1 1 12, 36.14, 100
0 1 32, 54.52, 13
1 2 20, 58.14, 29
2 0 32, 63.83, 25
2 2 0, 63.93, 26

Crystal structure
Cell: 5.8248 5.8248 57.1923 Å, 90.00 90.00 120.00°
Space group R3m (No. 160, hexagonal axes)
Asymmetric unit:
Al 0.0000 0.0000 0.0000 x3
Al 0.0000 0.0000 0.1555 x3
Al 0.0000 0.0000 0.2501 x3
Al 0.0000 0.0000 0.7495 x3
Al 0.9999 0.4999 0.3750 x9
Al 0.0005 0.5003 0.6250 x9
Al 0.1686 0.3371 0.2089 x9
Al 0.1688 0.3376 0.4580 x9
Fe 0.0000 0.0000 0.0936 x3
Fe 0.0000 0.0000 0.3437 x3
Fe 0.0000 0.0000 0.4067 x3
Fe 0.0000 0.0000 0.5005 x3
Fe 0.0000 0.0000 0.5943 x3
Fe 0.0000 0.0000 0.6564 x3
Fe 0.0000 0.0000 0.8444 x3
Fe 0.0000 0.0000 0.9056 x3
O 0.0000 0.0000 0.0585 x3
O 0.0000 0.0000 0.1878 x3
O 0.0000 0.0000 0.3086 x3
O 0.0000 0.0000 0.4429 x3
O 0.0000 0.0000 0.5596 x3
O 0.0000 0.0000 0.6914 x3
O 0.0000 0.0000 0.8088 x3
O 0.0000 0.0000 0.9412 x3
O 0.0243 0.5121 0.1915 x9
O 0.0413 0.5207 0.6887 x9
O 0.0415 0.5207 0.9389 x9
O 0.0440 0.5220 0.4384 x9
O 0.1673 0.3345 0.1434 x9
O 0.1871 0.3743 0.3944 x9
O 0.1874 0.3747 0.6445 x9
O 0.1902 0.3805 0.8945 x9

[9]
For MgCr4O6, a GGA+U-relaxed structure gives the theoretical powder XRD pattern in this record (Cu Kα (λ = 1.5418 Å)).

Top 6 peaks for 10° ≤ 2θ ≤ 80°, low angle first:
(hkl), 2theta, I/Imax
0 0 2, 11.61, 54
0 2 5, 34.33, 100
1 3 1, 40.67, 46
1 3 2, 42.00, 75
1 3 3, 44.15, 52
1 1 8, 58.08, 30

Crystal structure
Cell: 2.9983 10.1326 15.2427 Å, 90.00 90.00 90.00°
Space group Cmcm (No. 63)
Asymmetric unit:
Mg 0.0000 0.1591 0.2500 x4
Cr 0.0000 0.0948 0.6365 x8
Cr 0.0000 0.3637 0.5458 x8
O 0.0000 0.0000 0.0000 x4
O 0.0000 0.1986 0.7500 x4
O 0.0000 0.2865 0.0820 x8
O 0.0000 0.4585 0.6618 x8